[1]
# CeSnI5
Simulated powder XRD pattern, λ = 1.5418 Å (Cu Kα). Input: the GGA-PBE geometry in Alexandria.
Lines closer than 0.1° are merged.

The 8 most intense peaks (10° ≤ 2θ ≤ 90°), in order of rising 2θ:
| two_theta | Rel. int. |
| --- | --- |
| 11.0 | 100 |
| 25.0 | 65 |
| 27.2 | 35 |
| 27.6 | 85 |
| 29.5 | 57 |
| 31.7 | 30 |
| 37.5 | 34 |
| 39.3 | 54 |

```
CeSnI5
1.0
9.168 0.000 0.000
0.000 4.584 0.000
-1.024 0.000 15.112
Ce Sn I
2 2 10
Direct
0.091 0.250 0.150
0.909 0.750 0.850
0.403 0.750 0.370
0.597 0.250 0.630
0.118 0.250 0.790
0.150 0.250 0.368
0.184 0.750 0.012
0.357 0.750 0.571
0.429 0.250 0.186
0.571 0.750 0.814
0.643 0.250 0.429
0.816 0.250 0.988
0.850 0.750 0.632
0.882 0.750 0.210
```

[2]
# CeSnI6
Simulated powder XRD pattern, λ = 1.5418 Å (Cu Kα). Input: the GGA-PBE geometry in Alexandria.
Lines closer than 0.1° are merged.

The 8 most intense peaks (10° ≤ 2θ ≤ 90°), in order of rising 2θ:
| two_theta | Rel. int. |
| --- | --- |
| 12.8 | 33 |
| 15.6 | 32 |
| 24.0 | 30 |
| 24.2 | 32 |
| 27.5 | 100 |
| 28.8 | 43 |
| 40.2 | 33 |
| 40.3 | 33 |

```
CeSnI6
1.0
3.855 -6.933 0.000
3.855 6.933 0.000
-2.300 0.000 7.338
Ce Sn I
1 1 6
Direct
0.000 0.000 0.000
0.500 0.500 0.500
0.086 0.391 0.244
0.248 0.248 0.761
0.391 0.086 0.244
0.609 0.914 0.756
0.752 0.752 0.239
0.914 0.609 0.756
```

[3]
# CeTaI
Simulated powder XRD pattern, λ = 1.5418 Å (Cu Kα). Input: the GGA-PBE geometry in Alexandria.
Lines closer than 0.1° are merged.

The 8 most intense peaks (10° ≤ 2θ ≤ 90°), in order of rising 2θ:
| two_theta | Rel. int. |
| --- | --- |
| 27.8 | 24 |
| 31.7 | 94 |
| 34.6 | 100 |
| 36.5 | 73 |
| 36.6 | 23 |
| 49.8 | 36 |
| 60.2 | 22 |
| 63.2 | 25 |

```
CeTaI
1.0
3.663 0.000 0.000
0.000 3.663 0.000
-0.009 -0.037 13.293
Ce Ta I
2 2 2
Direct
0.250 0.247 0.296
0.750 0.753 0.704
0.250 0.250 0.540
0.750 0.750 0.460
0.251 0.254 0.859
0.749 0.746 0.141
```

[4]
# TbCe2I6
Simulated powder XRD pattern, λ = 1.5418 Å (Cu Kα). Input: the GGA-PBE geometry in Alexandria.
Lines closer than 0.1° are merged.

The 8 most intense peaks (10° ≤ 2θ ≤ 90°), in order of rising 2θ:
| two_theta | Rel. int. |
| --- | --- |
| 13.8 | 39 |
| 25.9 | 100 |
| 33.5 | 79 |
| 40.2 | 48 |
| 43.6 | 25 |
| 53.3 | 22 |
| 65.6 | 22 |
| 68.9 | 18 |

```
TbCe2I6
1.0
3.883 2.242 7.363
-3.883 2.242 7.363
0.000 -4.483 7.363
Tb Ce I
1 2 6
Direct
0.000 0.000 0.000
0.164 0.164 0.164
0.328 0.328 0.328
0.062 0.417 0.752
0.237 0.909 0.595
0.417 0.752 0.062
0.595 0.237 0.909
0.752 0.062 0.417
0.909 0.595 0.237
```

[5]
# TbCeTcI
Simulated powder XRD pattern, λ = 1.5418 Å (Cu Kα). Input: the GGA-PBE geometry in Alexandria.
Lines closer than 0.1° are merged.

The 8 most intense peaks (10° ≤ 2θ ≤ 90°), in order of rising 2θ:
| two_theta | Rel. int. |
| --- | --- |
| 11.2 | 18 |
| 29.5 | 53 |
| 31.6 | 100 |
| 34.0 | 17 |
| 44.5 | 53 |
| 55.6 | 20 |
| 57.1 | 23 |
| 73.8 | 17 |

```
TbCeTcI
1.0
3.531 -2.037 0.000
3.531 2.037 0.000
-2.360 0.000 7.902
Tb Ce Tc I
1 1 1 1
Direct
0.000 0.000 0.000
0.786 0.786 0.361
0.413 0.413 0.236
0.234 0.234 0.703
```

[6]
# Ce4TcI5
Simulated powder XRD pattern, λ = 1.5418 Å (Cu Kα). Input: the GGA-PBE geometry in Alexandria.
Lines closer than 0.1° are merged.

The 8 most intense peaks (10° ≤ 2θ ≤ 90°), in order of rising 2θ:
| two_theta | Rel. int. |
| --- | --- |
| 28.2 | 44 |
| 28.6 | 100 |
| 39.2 | 18 |
| 40.6 | 31 |
| 40.7 | 30 |
| 42.6 | 18 |
| 51.9 | 16 |
| 59.2 | 11 |

```
Ce4TcI5
1.0
9.743 -2.124 0.000
9.743 2.124 0.000
-2.126 0.000 8.949
Ce Tc I
4 1 5
Direct
0.001 0.001 0.290
0.359 0.359 0.428
0.641 0.641 0.572
0.999 0.999 0.710
0.500 0.500 0.500
0.168 0.168 0.843
0.173 0.173 0.327
0.500 0.500 0.000
0.827 0.827 0.673
0.832 0.832 0.157
```

[7]
# Ce3TeI3
Simulated powder XRD pattern, λ = 1.5418 Å (Cu Kα). Input: the GGA-PBE geometry in Alexandria.
Lines closer than 0.1° are merged.

The 8 most intense peaks (10° ≤ 2θ ≤ 90°), in order of rising 2θ:
| two_theta | Rel. int. |
| --- | --- |
| 26.4 | 10 |
| 28.2 | 100 |
| 40.4 | 74 |
| 50.0 | 26 |
| 58.4 | 12 |
| 66.1 | 32 |
| 73.4 | 23 |
| 87.2 | 7 |

```
Ce3TeI3
1.0
-6.321 6.321 6.321
6.321 -6.321 6.321
6.321 6.321 -6.321
Ce Te I
12 4 12
Direct
0.006 0.492 0.749
0.008 0.014 0.257
0.014 0.257 0.008
0.243 0.257 0.751
0.243 0.486 0.494
0.257 0.008 0.014
0.257 0.751 0.243
0.486 0.494 0.243
0.492 0.749 0.006
0.494 0.243 0.486
0.749 0.006 0.492
0.751 0.243 0.257
0.000 0.249 0.500
0.249 0.500 0.000
0.251 0.251 0.251
0.500 0.000 0.249
0.250 0.758 0.742
0.250 0.992 0.509
0.508 0.758 0.517
0.509 0.250 0.992
0.517 0.508 0.758
0.742 0.250 0.758
0.742 0.991 0.983
0.758 0.517 0.508
0.758 0.742 0.250
0.983 0.742 0.991
0.991 0.983 0.742
0.992 0.509 0.250
```

[8]
# CeThI5
Simulated powder XRD pattern, λ = 1.5418 Å (Cu Kα). Input: the GGA-PBE geometry in Alexandria.
Lines closer than 0.1° are merged.

The 8 most intense peaks (10° ≤ 2θ ≤ 90°), in order of rising 2θ:
| two_theta | Rel. int. |
| --- | --- |
| 10.5 | 100 |
| 26.7 | 37 |
| 28.6 | 37 |
| 28.8 | 36 |
| 29.0 | 35 |
| 29.2 | 22 |
| 29.6 | 32 |
| 38.5 | 22 |

```
CeThI5
1.0
9.613 0.000 0.000
0.000 4.123 0.000
-1.463 0.000 15.110
Ce Th I
2 2 10
Direct
0.075 0.250 0.158
0.925 0.750 0.842
0.384 0.750 0.360
0.616 0.250 0.640
0.136 0.250 0.376
0.149 0.250 0.785
0.182 0.750 0.017
0.363 0.750 0.575
0.420 0.250 0.201
0.580 0.750 0.799
0.637 0.250 0.425
0.818 0.250 0.983
0.851 0.750 0.215
0.864 0.750 0.624
```

[9]
# CeTiI6
Simulated powder XRD pattern, λ = 1.5418 Å (Cu Kα). Input: the GGA-PBE geometry in Alexandria.
Lines closer than 0.1° are merged.

The 8 most intense peaks (10° ≤ 2θ ≤ 90°), in order of rising 2θ:
| two_theta | Rel. int. |
| --- | --- |
| 12.7 | 41 |
| 12.9 | 73 |
| 25.3 | 36 |
| 25.4 | 50 |
| 25.6 | 100 |
| 33.0 | 50 |
| 36.6 | 27 |
| 39.5 | 37 |

```
CeTiI6
1.0
3.932 -6.947 0.000
3.932 6.947 0.000
-0.241 0.000 7.273
Ce Ti I
1 1 6
Direct
0.000 0.000 0.000
0.000 0.000 0.500
0.003 0.296 0.285
0.296 0.003 0.285
0.299 0.299 0.733
0.701 0.701 0.267
0.704 0.997 0.715
0.997 0.704 0.715
```

[10]
# CeTlI4
Simulated powder XRD pattern, λ = 1.5418 Å (Cu Kα). Input: the GGA-PBE geometry in Alexandria.
Lines closer than 0.1° are merged.

The 8 most intense peaks (10° ≤ 2θ ≤ 90°), in order of rising 2θ:
| two_theta | Rel. int. |
| --- | --- |
| 12.0 | 61 |
| 21.7 | 35 |
| 25.9 | 50 |
| 26.8 | 100 |
| 36.1 | 36 |
| 38.0 | 20 |
| 39.1 | 36 |
| 46.6 | 21 |

```
CeTlI4
1.0
7.496 -2.365 0.000
7.496 2.365 0.000
-1.685 0.000 8.613
Ce Tl I
1 1 4
Direct
0.000 0.000 0.000
0.500 0.500 0.500
0.122 0.122 0.327
0.380 0.380 0.105
0.620 0.620 0.895
0.878 0.878 0.673
```

[11]
# Ce2TlI6
Simulated powder XRD pattern, λ = 1.5418 Å (Cu Kα). Input: the GGA-PBE geometry in Alexandria.
Lines closer than 0.1° are merged.

The 8 most intense peaks (10° ≤ 2θ ≤ 90°), in order of rising 2θ:
| two_theta | Rel. int. |
| --- | --- |
| 14.7 | 28 |
| 20.3 | 19 |
| 24.5 | 100 |
| 32.6 | 76 |
| 37.2 | 51 |
| 43.0 | 21 |
| 50.3 | 20 |
| 64.0 | 19 |

```
Ce2TlI6
1.0
4.182 2.415 7.297
-4.182 2.415 7.297
0.000 -4.829 7.297
Ce Tl I
2 1 6
Direct
0.000 0.000 0.000
0.174 0.174 0.174
0.676 0.676 0.676
0.114 0.769 0.377
0.231 0.592 0.926
0.377 0.114 0.769
0.592 0.926 0.231
0.769 0.377 0.114
0.926 0.231 0.592
```

[12]
# CeTl6I8
Simulated powder XRD pattern, λ = 1.5418 Å (Cu Kα). Input: the GGA-PBE geometry in Alexandria.
Lines closer than 0.1° are merged.

The 8 most intense peaks (10° ≤ 2θ ≤ 90°), in order of rising 2θ:
| two_theta | Rel. int. |
| --- | --- |
| 12.8 | 33 |
| 21.0 | 24 |
| 25.8 | 23 |
| 28.6 | 100 |
| 29.0 | 66 |
| 30.9 | 72 |
| 37.4 | 25 |
| 42.8 | 32 |

```
CeTl6I8
1.0
10.673 0.000 0.000
-5.337 9.243 0.000
0.000 0.000 6.903
Ce Tl I
1 6 8
Direct
0.000 0.000 0.000
0.000 0.383 0.796
0.000 0.617 0.204
0.383 0.000 0.796
0.383 0.383 0.204
0.617 0.000 0.204
0.617 0.617 0.796
0.000 0.252 0.252
0.000 0.748 0.748
0.252 0.000 0.252
0.252 0.252 0.748
0.333 0.667 0.000
0.667 0.333 0.000
0.748 0.000 0.748
0.748 0.748 0.252
```

[13]
# CeTlI
Simulated powder XRD pattern, λ = 1.5418 Å (Cu Kα). Input: the GGA-PBE geometry in Alexandria.
Lines closer than 0.1° are merged.

The 8 most intense peaks (10° ≤ 2θ ≤ 90°), in order of rising 2θ:
| two_theta | Rel. int. |
| --- | --- |
| 26.2 | 48 |
| 26.4 | 100 |
| 31.2 | 46 |
| 31.5 | 72 |
| 37.9 | 99 |
| 38.6 | 20 |
| 44.0 | 35 |
| 49.9 | 20 |

```
CeTlI
1.0
4.112 -2.375 0.000
4.112 2.375 0.000
-0.128 0.000 11.853
Ce Tl I
2 2 2
Direct
0.003 0.003 0.186
0.997 0.997 0.814
0.334 0.334 0.049
0.666 0.666 0.951
0.328 0.328 0.658
0.672 0.672 0.342
```

[14]
# CeYI4
Simulated powder XRD pattern, λ = 1.5418 Å (Cu Kα). Input: the GGA-PBE geometry in Alexandria.
Lines closer than 0.1° are merged.

The 8 most intense peaks (10° ≤ 2θ ≤ 90°), in order of rising 2θ:
| two_theta | Rel. int. |
| --- | --- |
| 16.0 | 30 |
| 25.0 | 37 |
| 26.3 | 28 |
| 28.6 | 100 |
| 29.5 | 43 |
| 40.9 | 38 |
| 41.6 | 67 |
| 51.2 | 36 |

```
CeYI4
1.0
-3.119 3.119 6.053
3.119 -3.119 6.053
3.119 3.119 -6.053
Ce Y I
1 1 4
Direct
0.000 0.000 0.000
0.750 0.250 0.500
0.007 0.507 0.500
0.266 0.266 0.000
0.493 0.993 0.500
0.734 0.734 0.000
```